No. 1
For Zr6CI14, a crystal structure in Alexandria, relaxed with PBE gives the simulated powder X-ray diffraction pattern in this record (λ = 1.5418 Å (Cu Kα)).
No peak broadening, texture or thermal motion is included.

Peak list (6 most intense, 10 to 90 degrees two-theta, low angle first)
10.4 deg, d = 8.537 Å, I = 100; 26.0 deg, d = 3.427 Å, I = 37; 26.3 deg, d = 3.384 Å, I = 69; 27.0 deg, d = 3.300 Å, I = 32; 28.6 deg, d = 3.126 Å, I = 50; 32.4 deg, d = 2.762 Å, I = 81

Structure:
```
Zr6CI14
1.0
7.949 -7.883 0.000
7.949 7.883 0.000
0.000 0.000 13.198
Zr C I
12 2 28
direct
0.052 0.161 0.890
0.123 0.877 0.912
0.161 0.052 0.110
0.339 0.448 0.610
0.377 0.623 0.412
0.448 0.339 0.390
0.552 0.661 0.610
0.623 0.377 0.588
0.661 0.552 0.390
0.839 0.948 0.890
0.877 0.123 0.088
0.948 0.839 0.110
0.000 0.000 0.000
0.500 0.500 0.500
0.032 0.216 0.242
0.097 0.654 0.017
0.116 0.384 0.750
0.132 0.868 0.264
0.154 0.597 0.517
0.216 0.032 0.758
0.247 0.247 0.500
0.253 0.253 0.000
0.284 0.468 0.258
0.346 0.903 0.017
0.368 0.632 0.764
0.384 0.116 0.250
0.403 0.846 0.517
0.468 0.284 0.742
0.532 0.716 0.258
0.597 0.154 0.483
0.616 0.884 0.750
0.632 0.368 0.236
0.654 0.097 0.983
0.716 0.532 0.742
0.747 0.747 0.000
0.753 0.753 0.500
0.784 0.968 0.242
0.846 0.403 0.483
0.868 0.132 0.736
0.884 0.616 0.250
0.903 0.346 0.983
0.968 0.784 0.758
```



No. 2
For In7C6, a crystal structure in Alexandria, relaxed with PBE gives the simulated powder X-ray diffraction pattern in this record (λ = 1.5418 Å (Cu Kα)).
No peak broadening, texture or thermal motion is included.

Peak list (6 most intense, 10 to 90 degrees two-theta, low angle first)
16.3 deg, d = 5.447 Å, I = 100; 32.1 deg, d = 2.789 Å, I = 63; 32.9 deg, d = 2.723 Å, I = 58; 37.0 deg, d = 2.429 Å, I = 40; 38.0 deg, d = 2.368 Å, I = 49; 43.2 deg, d = 2.094 Å, I = 65

Structure:
```
In7C6
1.0
3.246 1.874 7.322
-3.246 1.874 7.322
0.000 -3.748 7.322
In C
7 6
direct
0.000 0.000 0.000
0.080 0.080 0.558
0.080 0.558 0.080
0.442 0.920 0.920
0.558 0.080 0.080
0.920 0.442 0.920
0.920 0.920 0.442
0.171 0.171 0.171
0.327 0.327 0.327
0.385 0.385 0.385
0.615 0.615 0.615
0.673 0.673 0.673
0.829 0.829 0.829
```



No. 3
For In5C3, a crystal structure in Alexandria, relaxed with PBE gives the simulated powder X-ray diffraction pattern in this record (λ = 1.5418 Å (Cu Kα)).
No peak broadening, texture or thermal motion is included.

Peak list (6 most intense, 10 to 90 degrees two-theta, low angle first)
27.0 deg, d = 3.298 Å, I = 73; 32.5 deg, d = 2.758 Å, I = 27; 37.2 deg, d = 2.419 Å, I = 100; 37.5 deg, d = 2.401 Å, I = 66; 50.4 deg, d = 1.811 Å, I = 31; 67.4 deg, d = 1.390 Å, I = 33

Structure:
```
In5C3
1.0
3.396 0.000 0.000
0.000 3.396 0.000
0.000 0.000 13.791
In C
5 3
direct
0.000 0.000 0.000
0.000 0.000 0.233
0.000 0.000 0.767
0.500 0.500 0.398
0.500 0.500 0.602
0.000 0.000 0.500
0.500 0.500 0.048
0.500 0.500 0.952
```



No. 4
For In3C2, a crystal structure in Alexandria, relaxed with PBE gives the simulated powder X-ray diffraction pattern in this record (λ = 1.5418 Å (Cu Kα)).
No peak broadening, texture or thermal motion is included.

Peak list (6 most intense, 10 to 90 degrees two-theta, low angle first)
29.7 deg, d = 3.004 Å, I = 30; 33.3 deg, d = 2.693 Å, I = 87; 34.3 deg, d = 2.615 Å, I = 39; 35.2 deg, d = 2.547 Å, I = 100; 52.3 deg, d = 1.748 Å, I = 45; 64.1 deg, d = 1.454 Å, I = 37

Structure:
```
In3C2
1.0
1.748 1.009 7.846
-1.748 1.009 7.846
0.000 -2.019 7.846
In C
3 2
direct
0.000 0.000 0.000
0.222 0.222 0.222
0.778 0.778 0.778
0.394 0.394 0.394
0.606 0.606 0.606
```



No. 5
For In5C3, a crystal structure in Alexandria, relaxed with PBE gives the simulated powder X-ray diffraction pattern in this record (λ = 1.5418 Å (Cu Kα)).
No peak broadening, texture or thermal motion is included.

Peak list (6 most intense, 10 to 90 degrees two-theta, low angle first)
28.7 deg, d = 3.108 Å, I = 59; 33.0 deg, d = 2.711 Å, I = 100; 37.4 deg, d = 2.403 Å, I = 25; 39.3 deg, d = 2.293 Å, I = 26; 48.0 deg, d = 1.896 Å, I = 35; 62.4 deg, d = 1.488 Å, I = 30

Structure:
```
In5C3
1.0
6.568 0.000 0.000
-3.284 5.688 0.000
0.000 0.000 9.613
In C
10 6
direct
0.000 0.318 0.250
0.000 0.682 0.750
0.318 0.000 0.250
0.318 0.318 0.750
0.333 0.667 0.000
0.333 0.667 0.500
0.667 0.333 0.000
0.667 0.333 0.500
0.682 0.000 0.750
0.682 0.682 0.250
0.000 0.345 0.750
0.000 0.655 0.250
0.345 0.000 0.750
0.345 0.345 0.250
0.655 0.000 0.250
0.655 0.655 0.750
```



No. 6
For InC8, a crystal structure in Alexandria, relaxed with PBE gives the simulated powder X-ray diffraction pattern in this record (λ = 1.5418 Å (Cu Kα)).
No peak broadening, texture or thermal motion is included.

Peak list (6 most intense, 10 to 90 degrees two-theta, low angle first)
10.4 deg, d = 8.498 Å, I = 55; 14.7 deg, d = 6.009 Å, I = 64; 20.9 deg, d = 4.249 Å, I = 100; 23.4 deg, d = 3.800 Å, I = 32; 29.7 deg, d = 3.004 Å, I = 34; 39.4 deg, d = 2.287 Å, I = 24

Structure:
```
InC8
1.0
-6.009 6.009 1.263
6.009 -6.009 1.263
6.009 6.009 -1.263
In C
1 8
direct
0.000 0.000 0.000
0.000 0.426 0.426
0.000 0.574 0.574
0.250 0.250 0.500
0.250 0.750 0.000
0.426 0.000 0.426
0.574 0.000 0.574
0.750 0.250 0.000
0.750 0.750 0.500
```



No. 7
For In3C2, a crystal structure in Alexandria, relaxed with PBE gives the simulated powder X-ray diffraction pattern in this record (λ = 1.5418 Å (Cu Kα)).
No peak broadening, texture or thermal motion is included.

Peak list (6 most intense, 10 to 90 degrees two-theta, low angle first)
26.5 deg, d = 3.365 Å, I = 54; 29.8 deg, d = 2.995 Å, I = 29; 30.2 deg, d = 2.963 Å, I = 100; 35.1 deg, d = 2.553 Å, I = 33; 36.2 deg, d = 2.479 Å, I = 43; 54.5 deg, d = 1.684 Å, I = 26

Structure:
```
In3C2
1.0
0.000 7.117 2.645
5.543 0.000 2.645
5.543 7.117 0.000
In C
6 4
direct
0.000 0.000 0.000
0.006 0.567 0.599
0.250 0.250 0.250
0.423 0.651 0.683
0.567 0.006 0.827
0.651 0.423 0.244
0.021 0.431 0.875
0.375 0.576 0.229
0.431 0.021 0.674
0.576 0.375 0.819
```